(1)
MgTe4Mo3WSe2S2: simulated XRD peak list (CuKα), based on a cell relaxed with PBE.
Neutral-atom scattering factors, no anomalous dispersion.

Principal peaks in the range 10 to 90 degrees two-theta, most intense first:
h k l, two_theta, d [Å], intensity
1 0 13, 40.0, 2.254, 100
1 0 8, 34.3, 2.615, 71
1 0 0, 30.4, 2.943, 49
1 0 11, 37.5, 2.399, 37
1 1 0, 53.9, 1.700, 36
0 0 6, 11.7, 7.592, 30
1 0 5, 31.9, 2.801, 26
0 1 10, 36.3, 2.473, 23
0 2 13, 69.2, 1.357, 19
1 1 5, 55.0, 1.671, 18

Structural model:
a = 3.3993 Å, b = 3.3993 Å, c = 45.5527 Å
α = 90.00°, β = 90.00°, γ = 120.00°
Space group P3m1 (No. 156)
Asymmetric unit:
Mg (0.0000, 0.0000, 0.0000) x1
Te (0.3333, 0.6667, 0.0715) x1
Te (0.3333, 0.6667, 0.1544) x1
Te (0.6667, 0.3333, 0.5014) x1
Te (0.6667, 0.3333, 0.5837) x1
Mo (0.3333, 0.6667, 0.5425) x1
Mo (0.3333, 0.6667, 0.9111) x1
Mo (0.6667, 0.3333, 0.7308) x1
W (0.6667, 0.3333, 0.1131) x1
Se (0.3333, 0.6667, 0.6946) x1
Se (0.3333, 0.6667, 0.7670) x1
S (0.6667, 0.3333, 0.8784) x1
S (0.6667, 0.3333, 0.9445) x1

(2)
MgTe2MoW2Se2S2: simulated XRD peak list (CuKα), based on a cell relaxed with PBE.
Neutral-atom scattering factors, no anomalous dispersion.

Principal peaks in the range 10 to 90 degrees two-theta, most intense first:
h k l, two_theta, d [Å], intensity
0 0 5, 11.8, 7.489, 100
2 0 0, 30.8, 2.906, 83
3 1 0, 54.7, 1.678, 74
1 1 11, 40.9, 2.207, 61
2 0 -11, 40.7, 2.215, 60
1 1 7, 35.2, 2.551, 56
2 0 -7, 35.1, 2.559, 49
1 1 -4, 32.2, 2.777, 42
1 1 6, 34.1, 2.633, 38
1 1 -10, 39.2, 2.301, 33

Structural model:
a = 5.817 Å, b = 3.358 Å, c = 37.446 Å
α = 90.00°, β = 90.30°, γ = 90.00°
Space group Cm (No. 8)
Asymmetric unit:
Mg (0.000, 0.000, 0.000) x2
Te (0.496, 0.500, 0.305) x2
Te (0.499, 0.500, 0.406) x2
Mo (0.164, 0.500, 0.888) x2
W (0.164, 0.500, 0.356) x2
W (0.495, 0.500, 0.134) x2
Se (0.160, 0.500, 0.089) x2
Se (0.164, 0.500, 0.179) x2
S (0.496, 0.500, 0.848) x2
S (0.498, 0.500, 0.928) x2

(3)
MgTe4Mo3WSe2S2: simulated XRD peak list (CuKα), based on a cell relaxed with PBE.
Neutral-atom scattering factors, no anomalous dispersion.

Principal peaks in the range 10 to 90 degrees two-theta, most intense first:
h k l, two_theta, d [Å], intensity
1 1 13, 39.8, 2.267, 100
2 0 8, 34.2, 2.623, 71
2 0 0, 30.4, 2.942, 63
0 0 6, 11.5, 7.697, 44
1 1 10, 36.2, 2.483, 42
3 1 0, 53.9, 1.700, 41
2 0 -15, 42.5, 2.128, 31
0 0 21, 41.1, 2.197, 29
2 0 -5, 31.9, 2.805, 29
3 1 -5, 54.9, 1.672, 19

Structural model:
a = 5.888 Å, b = 3.400 Å, c = 46.181 Å
α = 90.00°, β = 90.06°, γ = 90.00°
Space group Cm (No. 8)
Asymmetric unit:
Mg (0.000, 0.000, 0.000) x2
Te (0.166, 0.500, 0.663) x2
Te (0.166, 0.500, 0.744) x2
Te (0.332, 0.000, 0.227) x2
Te (0.333, 0.000, 0.308) x2
Mo (0.166, 0.500, 0.267) x2
Mo (0.332, 0.000, 0.085) x2
Mo (0.333, 0.000, 0.703) x2
W (0.166, 0.500, 0.884) x2
Se (0.332, 0.000, 0.848) x2
Se (0.333, 0.000, 0.920) x2
S (0.166, 0.500, 0.052) x2
S (0.166, 0.500, 0.117) x2

(4)
MgTe2MoW2Se2S2: simulated XRD peak list (CuKα), based on a cell relaxed with PBE.
Neutral-atom scattering factors, no anomalous dispersion.

Principal peaks in the range 10 to 90 degrees two-theta, most intense first:
h k l, two_theta, d [Å], intensity
1 1 0, 30.9, 2.892, 100
0 0 5, 12.0, 7.405, 78
1 1 11, 41.2, 2.191, 62
3 1 0, 55.0, 1.671, 61
1 1 6, 34.2, 2.621, 60
2 0 -11, 41.1, 2.198, 57
1 1 7, 35.4, 2.536, 48
1 1 -4, 32.4, 2.762, 40
1 1 -10, 39.5, 2.283, 38
2 0 -7, 35.3, 2.543, 35

Structural model:
a = 5.788 Å, b = 3.342 Å, c = 37.025 Å
α = 90.00°, β = 90.27°, γ = 90.00°
Space group Cm (No. 8)
Asymmetric unit:
Mg (0.000, 0.000, 0.000) x2
Te (0.002, 0.000, 0.708) x2
Te (0.498, 0.500, 0.605) x2
Mo (0.333, 0.000, 0.656) x2
W (0.001, 0.000, 0.878) x2
W (0.333, 0.000, 0.124) x2
Se (0.001, 0.000, 0.169) x2
Se (0.498, 0.500, 0.079) x2
S (0.333, 0.000, 0.837) x2
S (0.335, 0.000, 0.919) x2

(5)
MgTe4Mo3WSe2S2: simulated XRD peak list (CuKα), based on a cell relaxed with PBE.
Neutral-atom scattering factors, no anomalous dispersion.

Principal peaks in the range 10 to 90 degrees two-theta, most intense first:
h k l, two_theta, d [Å], intensity
1 0 13, 39.7, 2.270, 100
1 0 8, 34.2, 2.621, 77
1 0 0, 30.5, 2.936, 65
1 0 11, 37.3, 2.412, 55
0 0 6, 11.4, 7.750, 53
1 1 0, 54.1, 1.696, 48
0 1 14, 41.0, 2.200, 36
0 1 5, 32.0, 2.801, 32
1 1 5, 55.0, 1.668, 21
0 0 24, 46.9, 1.939, 20

Structural model:
a = 3.3914 Å, b = 3.3914 Å, c = 46.5018 Å
α = 90.00°, β = 90.00°, γ = 120.00°
Space group P3m1 (No. 156)
Asymmetric unit:
Mg (0.0000, 0.0000, 0.0000) x1
Te (0.3333, 0.6667, 0.0665) x1
Te (0.3333, 0.6667, 0.1480) x1
Te (0.3333, 0.6667, 0.4349) x1
Te (0.3333, 0.6667, 0.5156) x1
Mo (0.3333, 0.6667, 0.2874) x1
Mo (0.3333, 0.6667, 0.9037) x1
Mo (0.6667, 0.3333, 0.4753) x1
W (0.6667, 0.3333, 0.1074) x1
Se (0.6667, 0.3333, 0.8684) x1
Se (0.6667, 0.3333, 0.9396) x1
S (0.6667, 0.3333, 0.2551) x1
S (0.6667, 0.3333, 0.3197) x1

(6)
MgTe2Mo3WSe4S2: simulated XRD peak list (CuKα), based on a cell relaxed with PBE.
Neutral-atom scattering factors, no anomalous dispersion.

Principal peaks in the range 10 to 90 degrees two-theta, most intense first:
h k l, two_theta, d [Å], intensity
1 0 13, 40.2, 2.241, 100
0 1 8, 34.7, 2.586, 68
0 0 6, 11.5, 7.675, 54
1 0 0, 30.9, 2.893, 51
1 1 0, 55.0, 1.671, 36
1 0 5, 32.4, 2.761, 30
1 0 11, 37.8, 2.381, 29
0 2 13, 70.3, 1.340, 19
0 1 14, 41.6, 2.173, 19
1 0 10, 36.7, 2.450, 18

Structural model:
a = 3.342 Å, b = 3.342 Å, c = 46.051 Å
α = 90.00°, β = 90.01°, γ = 120.00°
Space group P1 (No. 1)
Asymmetric unit:
Mg (0.000, 0.000, 0.000) x1
Te (0.334, 0.666, 0.070) x1
Te (0.334, 0.667, 0.152) x1
Mo (0.335, 0.667, 0.908) x1
Mo (0.668, 0.333, 0.111) x1
Mo (0.668, 0.333, 0.728) x1
W (0.334, 0.667, 0.540) x1
Se (0.334, 0.667, 0.692) x1
Se (0.335, 0.667, 0.765) x1
Se (0.667, 0.333, 0.504) x1
Se (0.668, 0.334, 0.577) x1
S (0.668, 0.333, 0.876) x1
S (0.668, 0.333, 0.942) x1

(7)
MgTe4Mo3WSe2S2: simulated XRD peak list (CuKα), based on a cell relaxed with PBE.
Neutral-atom scattering factors, no anomalous dispersion.

Principal peaks in the range 10 to 90 degrees two-theta, most intense first:
h k l, two_theta, d [Å], intensity
1 0 13, 39.7, 2.268, 100
1 0 0, 30.5, 2.934, 72
0 1 8, 34.2, 2.620, 71
1 1 0, 54.1, 1.695, 43
0 0 6, 11.4, 7.739, 38
0 1 10, 36.2, 2.481, 33
1 0 5, 32.0, 2.799, 32
1 0 15, 42.4, 2.130, 30
0 1 14, 41.1, 2.198, 19
1 1 5, 55.1, 1.667, 19

Structural model:
a = 3.3898 Å, b = 3.3898 Å, c = 46.4342 Å
α = 90.00°, β = 90.00°, γ = 120.00°
Space group P3m1 (No. 156)
Asymmetric unit:
Mg (0.0000, 0.0000, 0.0000) x1
Te (0.3333, 0.6667, 0.2388) x1
Te (0.3333, 0.6667, 0.3196) x1
Te (0.3333, 0.6667, 0.8565) x1
Te (0.3333, 0.6667, 0.9377) x1
Mo (0.3333, 0.6667, 0.7156) x1
Mo (0.6667, 0.3333, 0.2792) x1
Mo (0.6667, 0.3333, 0.8969) x1
W (0.3333, 0.6667, 0.1008) x1
Se (0.6667, 0.3333, 0.6800) x1
Se (0.6667, 0.3333, 0.7511) x1
S (0.6667, 0.3333, 0.0683) x1
S (0.6667, 0.3333, 0.1332) x1

(8)
MgTe2Mo3WSe4S2: simulated XRD peak list (CuKα), based on a cell relaxed with PBE.
Neutral-atom scattering factors, no anomalous dispersion.

Principal peaks in the range 10 to 90 degrees two-theta, most intense first:
h k l, two_theta, d [Å], intensity
1 0 13, 40.4, 2.230, 100
1 0 8, 34.8, 2.578, 72
1 0 0, 30.9, 2.890, 53
1 0 11, 38.0, 2.371, 42
1 1 0, 55.0, 1.669, 38
0 0 6, 11.6, 7.596, 37
1 0 5, 32.5, 2.756, 33
1 1 5, 56.0, 1.642, 20
0 2 13, 70.5, 1.336, 19
0 1 18, 47.7, 1.905, 17

Structural model:
a = 3.3382 Å, b = 3.3382 Å, c = 45.5787 Å
α = 90.00°, β = 90.00°, γ = 120.00°
Space group P3m1 (No. 156)
Asymmetric unit:
Mg (0.0000, 0.0000, 0.0000) x1
Te (0.6667, 0.3333, 0.4924) x1
Te (0.6667, 0.3333, 0.5758) x1
Mo (0.3333, 0.6667, 0.5340) x1
Mo (0.3333, 0.6667, 0.9028) x1
Mo (0.6667, 0.3333, 0.7220) x1
W (0.6667, 0.3333, 0.1058) x1
Se (0.3333, 0.6667, 0.0687) x1
Se (0.3333, 0.6667, 0.1426) x1
Se (0.6667, 0.3333, 0.8663) x1
Se (0.6667, 0.3333, 0.9400) x1
S (0.3333, 0.6667, 0.6887) x1
S (0.3333, 0.6667, 0.7553) x1

(9)
MgTe2MoW2Se2S2: simulated XRD peak list (CuKα), based on a cell relaxed with PBE.
Neutral-atom scattering factors, no anomalous dispersion.

Principal peaks in the range 10 to 90 degrees two-theta, most intense first:
h k l, two_theta, d [Å], intensity
0 0 4, 11.4, 7.741, 100
2 0 -6, 35.5, 2.528, 42
2 0 7, 37.1, 2.425, 41
1 1 11, 44.9, 2.020, 32
1 1 0, 30.8, 2.899, 27
3 1 0, 54.9, 1.674, 23
2 0 9, 40.7, 2.217, 22
1 1 4, 33.0, 2.715, 17
2 0 -10, 42.7, 2.116, 14
2 0 2, 31.4, 2.850, 14

Structural model:
a = 5.798 Å, b = 3.348 Å, c = 30.965 Å
α = 90.00°, β = 90.00°, γ = 90.00°
Space group Cm (No. 8)
Asymmetric unit:
Mg (0.000, 0.000, 0.000) x2
Te (0.498, 0.500, 0.661) x2
Te (0.498, 0.500, 0.784) x2
Mo (0.498, 0.500, 0.491) x2
W (0.331, 0.000, 0.259) x2
W (0.331, 0.000, 0.722) x2
Se (0.498, 0.500, 0.206) x2
Se (0.498, 0.500, 0.314) x2
S (0.331, 0.000, 0.442) x2
S (0.331, 0.000, 0.540) x2

(10)
MgTe2MoW2Se2S2: simulated XRD peak list (CuKα), based on a cell relaxed with PBE.
Neutral-atom scattering factors, no anomalous dispersion.

Principal peaks in the range 10 to 90 degrees two-theta, most intense first:
h k l, two_theta, d [Å], intensity
1 1 0, 30.9, 2.896, 100
2 0 6, 34.2, 2.623, 95
3 1 0, 54.9, 1.673, 72
1 1 -10, 39.5, 2.282, 71
1 1 11, 41.2, 2.193, 68
1 1 7, 35.3, 2.542, 68
2 0 -11, 41.1, 2.198, 63
0 0 5, 12.0, 7.396, 60
1 1 -4, 32.4, 2.766, 58
3 1 -4, 55.8, 1.647, 37

Structural model:
a = 5.796 Å, b = 3.348 Å, c = 36.979 Å
α = 90.00°, β = 90.20°, γ = 90.00°
Space group Cm (No. 8)
Asymmetric unit:
Mg (0.000, 0.000, 0.000) x2
Te (0.167, 0.500, 0.599) x2
Te (0.169, 0.500, 0.702) x2
Mo (0.168, 0.500, 0.877) x2
W (0.000, 0.000, 0.122) x2
W (0.001, 0.000, 0.650) x2
Se (0.000, 0.000, 0.832) x2
Se (0.002, 0.000, 0.922) x2
S (0.165, 0.500, 0.081) x2
S (0.168, 0.500, 0.163) x2

(11)
MgTe4Mo3WSe2S2: simulated XRD peak list (CuKα), based on a cell relaxed with PBE.
Neutral-atom scattering factors, no anomalous dispersion.

Principal peaks in the range 10 to 90 degrees two-theta, most intense first:
h k l, two_theta, d [Å], intensity
0 0 5, 11.5, 7.703, 100
1 1 -8, 35.8, 2.507, 98
0 1 -13, 43.4, 2.086, 52
1 1 0, 30.4, 2.936, 50
2 1 0, 54.1, 1.696, 33
0 1 10, 38.5, 2.336, 26
1 2 -21, 76.5, 1.245, 16
0 2 -8, 66.6, 1.405, 16
1 1 5, 32.6, 2.745, 15
1 1 14, 45.2, 2.008, 14

Structural model:
a = 3.391 Å, b = 3.391 Å, c = 38.515 Å
α = 90.00°, β = 90.00°, γ = 60.00°
Space group P1 (No. 1)
Asymmetric unit:
Mg (0.000, 0.000, 0.000) x1
Te (0.324, 0.363, 0.732) x1
Te (0.324, 0.363, 0.829) x1
Te (0.991, 0.030, 0.168) x1
Te (0.991, 0.030, 0.266) x1
Mo (0.324, 0.363, 0.592) x1
Mo (0.991, 0.030, 0.405) x1
Mo (0.991, 0.030, 0.780) x1
W (0.324, 0.363, 0.216) x1
Se (0.324, 0.363, 0.362) x1
Se (0.324, 0.363, 0.447) x1
S (0.991, 0.030, 0.553) x1
S (0.991, 0.030, 0.631) x1

(12)
MgTe2Mo3WSe4S2: simulated XRD peak list (CuKα), based on a cell relaxed with PBE.
Neutral-atom scattering factors, no anomalous dispersion.

Principal peaks in the range 10 to 90 degrees two-theta, most intense first:
h k l, two_theta, d [Å], intensity
0 0 5, 10.0, 8.843, 100
1 0 13, 40.9, 2.206, 42
1 0 8, 34.9, 2.567, 34
1 0 0, 30.9, 2.898, 21
1 1 0, 54.9, 1.674, 17
0 1 10, 37.1, 2.424, 16
0 0 6, 12.0, 7.369, 14
1 0 5, 32.5, 2.755, 13
1 0 15, 43.8, 2.067, 10
0 1 14, 42.3, 2.136, 10

Structural model:
a = 3.3475 Å, b = 3.3475 Å, c = 44.2132 Å
α = 90.00°, β = 90.00°, γ = 120.00°
Space group P3m1 (No. 156)
Asymmetric unit:
Mg (0.0000, 0.0000, 0.0000) x1
Te (0.3333, 0.6667, 0.2441) x1
Te (0.3333, 0.6667, 0.3303) x1
Mo (0.3333, 0.6667, 0.1037) x1
Mo (0.3333, 0.6667, 0.7228) x1
Mo (0.6667, 0.3333, 0.9055) x1
W (0.6667, 0.3333, 0.2872) x1
Se (0.6667, 0.3333, 0.0656) x1
Se (0.6667, 0.3333, 0.1413) x1
Se (0.6667, 0.3333, 0.6851) x1
Se (0.6667, 0.3333, 0.7604) x1
S (0.3333, 0.6667, 0.8714) x1
S (0.3333, 0.6667, 0.9403) x1

(13)
MgTe2MoW2Se2S2: simulated XRD peak list (CuKα), based on a cell relaxed with PBE.
Neutral-atom scattering factors, no anomalous dispersion.

Principal peaks in the range 10 to 90 degrees two-theta, most intense first:
h k l, two_theta, d [Å], intensity
0 0 4, 11.4, 7.767, 100
1 0 -7, 37.1, 2.425, 48
1 0 6, 35.5, 2.527, 46
-1 1 11, 44.8, 2.022, 32
1 -2 0, 54.9, 1.671, 28
1 -1 0, 30.9, 2.896, 25
1 0 10, 42.7, 2.118, 23
0 0 5, 14.3, 6.213, 14
-1 1 4, 33.0, 2.713, 13
1 0 1, 31.0, 2.883, 12

Structural model:
a = 3.344 Å, b = 3.344 Å, c = 31.067 Å
α = 90.00°, β = 90.00°, γ = 120.00°
Space group P1 (No. 1)
Asymmetric unit:
Mg (0.000, 0.000, 0.000) x1
Te (0.886, 0.972, 0.223) x1
Te (0.886, 0.972, 0.345) x1
Mo (0.553, 0.305, 0.747) x1
W (0.553, 0.305, 0.284) x1
W (0.886, 0.972, 0.516) x1
Se (0.553, 0.305, 0.462) x1
Se (0.553, 0.305, 0.570) x1
S (0.886, 0.972, 0.698) x1
S (0.886, 0.972, 0.796) x1